Record 1
Diffraction record for Li3NiB2O6. The XRD peak list is theoretical, not measured: it uses a crystal structure in the Materials Project, relaxed with PBE+U and Cu Kα, 1.54184 Å.
Kinematic intensities with the Lorentz-polarization factor, no thermal factor.

Structure:
```
data_Li3NiB2O6
_cell_length_a 5.2436
_cell_length_b 8.8289
_cell_length_c 10.4958
_cell_angle_alpha 90.00
_cell_angle_beta 117.60
_cell_angle_gamma 90.00
_symmetry_space_group_name_H-M 'P 1'
_symmetry_Int_Tables_number 1
loop_
_symmetry_equiv_pos_as_xyz
'x,y,z'
loop_
_atom_site_label
_atom_site_type_symbol
_atom_site_fract_x
_atom_site_fract_y
_atom_site_fract_z
Li1 Li 0.0039 0.0212 0.1590
Li2 Li 0.0039 0.4788 0.6590
Li3 Li 0.0442 0.6597 0.8767
Li4 Li 0.0442 0.8403 0.3767
Li5 Li 0.4328 0.0086 0.6102
Li6 Li 0.4328 0.4914 0.1102
Li7 Li 0.5672 0.5086 0.8898
Li8 Li 0.5672 0.9914 0.3898
Li9 Li 0.9558 0.1597 0.6233
Li10 Li 0.9558 0.3403 0.1233
Li11 Li 0.9961 0.5212 0.3410
Li12 Li 0.9961 0.9788 0.8410
Ni1 Ni 0.4822 0.6889 0.6250
Ni2 Ni 0.4822 0.8111 0.1250
Ni3 Ni 0.5178 0.1889 0.8750
Ni4 Ni 0.5178 0.3111 0.3750
B1 B 0.0544 0.1813 0.3798
B2 B 0.0544 0.3187 0.8798
B3 B 0.4675 0.1569 0.1307
B4 B 0.4675 0.3431 0.6307
B5 B 0.5325 0.6569 0.3693
B6 B 0.5325 0.8431 0.8693
B7 B 0.9456 0.6813 0.1202
B8 B 0.9456 0.8187 0.6202
O1 O 0.1320 0.1780 0.8488
O2 O 0.1320 0.3220 0.3488
O3 O 0.1789 0.6735 0.0930
O4 O 0.1789 0.8265 0.5930
O5 O 0.1997 0.0516 0.3836
O6 O 0.1997 0.4484 0.8836
O7 O 0.3309 0.6739 0.4214
O8 O 0.3309 0.8261 0.9214
O9 O 0.3607 0.0222 0.1452
O10 O 0.3607 0.4778 0.6452
O11 O 0.3768 0.2103 0.6733
O12 O 0.3768 0.2897 0.1733
O13 O 0.6232 0.7103 0.8267
O14 O 0.6232 0.7897 0.3267
O15 O 0.6393 0.5222 0.3548
O16 O 0.6393 0.9778 0.8548
O17 O 0.6691 0.1739 0.0786
O18 O 0.6691 0.3261 0.5786
O19 O 0.8003 0.5516 0.1164
O20 O 0.8003 0.9484 0.6164
O21 O 0.8211 0.1735 0.4070
O22 O 0.8211 0.3265 0.9070
O23 O 0.8680 0.6780 0.6512
O24 O 0.8680 0.8220 0.1512
```

Most intense lines, 2θ from 10° to 90°, low angle first:
d = 4.647 Å, I 80.5
d = 4.414 Å, I 66.5
d = 4.115 Å, I 100.0
d = 3.998 Å, I 38.3
d = 3.295 Å, I 24.7
d = 3.201 Å, I 23.1
d = 2.620 Å, I 28.2
d = 2.566 Å, I 67.1
d = 2.511 Å, I 21.7
d = 2.325 Å, I 80.8
d = 1.705 Å, I 22.2
d = 1.698 Å, I 37.8

---

Record 2
Diffraction record for Li4MnNi5O12. The XRD peak list is theoretical, not measured: it uses a crystal structure in the Materials Project, relaxed with PBE+U and Cu Kα, 1.54184 Å.
Kinematic intensities with the Lorentz-polarization factor, no thermal factor.

Structure:
```
data_Li4MnNi5O12
_cell_length_a 4.9398
_cell_length_b 4.9398
_cell_length_c 9.9886
_cell_angle_alpha 91.05
_cell_angle_beta 91.05
_cell_angle_gamma 117.96
_symmetry_space_group_name_H-M 'P 1'
_symmetry_Int_Tables_number 1
loop_
_symmetry_equiv_pos_as_xyz
'x,y,z'
loop_
_atom_site_label
_atom_site_type_symbol
_atom_site_fract_x
_atom_site_fract_y
_atom_site_fract_z
Li1 Li 0.0983 0.0983 0.2507
Li2 Li 0.4067 0.3965 0.7494
Li3 Li 0.6035 0.5933 0.2506
Li4 Li 0.9017 0.9017 0.7493
Mn1 Mn 0.7525 0.2475 0.5000
Ni1 Ni 0.0880 0.9120 0.5000
Ni2 Ni 0.2525 0.7475 0.0000
Ni3 Ni 0.4170 0.5830 0.5000
Ni4 Ni 0.5886 0.4114 0.0000
Ni5 Ni 0.9166 0.0834 0.0000
O1 O 0.0702 0.2253 0.6083
O2 O 0.0738 0.5687 0.4045
O3 O 0.2316 0.0715 0.8965
O4 O 0.2714 0.4213 0.1033
O5 O 0.4313 0.9262 0.5955
O6 O 0.4350 0.2697 0.3917
O7 O 0.5787 0.7286 0.8967
O8 O 0.5823 0.0773 0.0948
O9 O 0.7303 0.5650 0.6083
O10 O 0.7747 0.9298 0.3917
O11 O 0.9227 0.4177 0.9052
O12 O 0.9285 0.7684 0.1035
```

Most intense lines, 2θ from 10° to 90°, low angle first:
d = 4.991 Å, I 100.0
d = 2.544 Å, I 9.4
d = 2.406 Å, I 14.6
d = 2.386 Å, I 14.5
d = 2.300 Å, I 9.0
d = 2.235 Å, I 8.3
d = 1.999 Å, I 16.5
d = 1.966 Å, I 15.4
d = 1.565 Å, I 9.2
d = 1.539 Å, I 8.1
d = 1.445 Å, I 7.7
d = 1.432 Å, I 7.4